Structure and theoretical X-ray powder pattern of Ni2Te3Au (a crystal structure in Alexandria, relaxed with PBE; Cu Kα X-rays).

Crystal structure
```
data_Ni2Te3Au
_chemical_formula_sum 'Ni4 Te6 Au2'
_cell_length_a 7.6583
_cell_length_b 7.6583
_cell_length_c 5.1302
_cell_angle_alpha 90.00
_cell_angle_beta 90.00
_cell_angle_gamma 120.00
_space_group_name_H-M_alt 'P 1'
_space_group_IT_number 1
_space_group_name_Hall 'P 1'
loop_
_atom_site_label
_atom_site_type_symbol
_atom_site_fract_x
_atom_site_fract_y
_atom_site_fract_z
Ni1 Ni 0.0000 0.0000 0.0000
Ni2 Ni 0.0000 0.5000 0.0000
Ni3 Ni 0.5000 0.0000 0.0000
Ni4 Ni 0.5000 0.5000 0.0000
Te1 Te 0.1744 0.3488 0.2432
Te2 Te 0.1744 0.8256 0.2432
Te3 Te 0.3488 0.1744 0.7568
Te4 Te 0.6512 0.8256 0.2432
Te5 Te 0.8256 0.1744 0.7568
Te6 Te 0.8256 0.6512 0.7568
Au1 Au 0.3333 0.6667 0.6860
Au2 Au 0.6667 0.3333 0.3140
```

Principal peaks in the range 5 to 70 degrees two-theta, by angle:
3.316 Å, 26.89°, rel. 7, (2 0 0)
2.785 Å, 32.14°, rel. 100, (0 2 1)
2.565 Å, 34.98°, rel. 7, (0 0 2)
2.392 Å, 37.60°, rel. 5, (0 1 2)
2.029 Å, 44.66°, rel. 27, (2 0 2)
1.915 Å, 47.49°, rel. 31, (2 2 0)
1.578 Å, 58.50°, rel. 17, (4 0 1)
1.534 Å, 60.32°, rel. 9, (2 2 2)
1.520 Å, 60.95°, rel. 10, (2 0 3)
1.393 Å, 67.23°, rel. 8, (0 4 2)


Structure and theoretical X-ray powder pattern of Ta4Mn (a crystal structure in Alexandria, relaxed with PBE; Cu Kα X-rays).

Crystal structure
```
data_Ta4Mn
_chemical_formula_sum 'Ta8 Mn2'
_cell_length_a 7.3019
_cell_length_b 7.3019
_cell_length_c 3.1514
_cell_angle_alpha 90.00
_cell_angle_beta 90.00
_cell_angle_gamma 90.00
_space_group_name_H-M_alt 'P 1'
_space_group_IT_number 1
_space_group_name_Hall 'P 1'
loop_
_atom_site_label
_atom_site_type_symbol
_atom_site_fract_x
_atom_site_fract_y
_atom_site_fract_z
Ta1 Ta 0.0908 0.7135 0.0000
Ta2 Ta 0.2135 0.4092 0.5000
Ta3 Ta 0.2865 0.0908 0.0000
Ta4 Ta 0.4092 0.7865 0.5000
Ta5 Ta 0.5908 0.2135 0.5000
Ta6 Ta 0.7135 0.9092 0.0000
Ta7 Ta 0.7865 0.5908 0.5000
Ta8 Ta 0.9092 0.2865 0.0000
Mn1 Mn 0.0000 0.0000 0.5000
Mn2 Mn 0.5000 0.5000 0.0000
```

Principal peaks in the range 5 to 70 degrees two-theta, by angle:
5.163 Å, 17.17°, rel. 4, (1 1 0)
3.651 Å, 24.38°, rel. 4, (2 0 0)
2.893 Å, 30.91°, rel. 9, (1 0 1)
2.582 Å, 34.75°, rel. 6, (2 2 0)
2.309 Å, 39.01°, rel. 56, (3 1 0)
2.268 Å, 39.75°, rel. 100, (1 2 1)
1.704 Å, 53.81°, rel. 2, (3 2 1)
1.633 Å, 56.35°, rel. 17, (2 4 0)
1.576 Å, 58.58°, rel. 8, (0 0 2)
1.544 Å, 59.91°, rel. 5, (4 1 1)


Structure and theoretical X-ray powder pattern of KCa2Au (a crystal structure in Alexandria, relaxed with PBE; Cu Kα X-rays).

Crystal structure
```
data_KCa2Au
_chemical_formula_sum 'K2 Ca4 Au2'
_cell_length_a 7.5285
_cell_length_b 4.3422
_cell_length_c 10.6395
_cell_angle_alpha 90.00
_cell_angle_beta 103.46
_cell_angle_gamma 90.00
_space_group_name_H-M_alt 'P 1'
_space_group_IT_number 1
_space_group_name_Hall 'P 1'
loop_
_atom_site_label
_atom_site_type_symbol
_atom_site_fract_x
_atom_site_fract_y
_atom_site_fract_z
K1 K 0.0000 0.0000 0.0000
K2 K 0.5000 0.5000 0.0000
Ca1 Ca 0.2171 0.0000 0.6530
Ca2 Ca 0.2829 0.5000 0.3470
Ca3 Ca 0.7171 0.5000 0.6530
Ca4 Ca 0.7829 0.0000 0.3470
Au1 Au 0.0000 0.5000 0.5000
Au2 Au 0.5000 0.0000 0.5000
```

Principal peaks in the range 5 to 70 degrees two-theta, by angle:
10.347 Å, 8.55°, rel. 100, (0 0 1)
5.174 Å, 17.14°, rel. 23, (0 0 2)
3.735 Å, 23.82°, rel. 14, (2 0 -1)
3.656 Å, 24.34°, rel. 18, (2 0 0)
3.385 Å, 26.33°, rel. 53, (2 0 -2)
2.869 Å, 31.18°, rel. 22, (1 1 2)
2.701 Å, 33.17°, rel. 18, (1 1 -3)
2.394 Å, 37.56°, rel. 18, (1 1 3)
2.172 Å, 41.58°, rel. 18, (0 2 0)
2.126 Å, 42.52°, rel. 14, (3 1 0)


Structure and theoretical X-ray powder pattern of Ac2AlSn4 (a crystal structure in Alexandria, relaxed with PBE; Cu Kα X-rays).

Crystal structure
```
data_Ac2AlSn4
_chemical_formula_sum 'Ac4 Al2 Sn8'
_cell_length_a 9.1351
_cell_length_b 10.6891
_cell_length_c 6.4128
_cell_angle_alpha 90.00
_cell_angle_beta 134.57
_cell_angle_gamma 90.00
_space_group_name_H-M_alt 'P 1'
_space_group_IT_number 1
_space_group_name_Hall 'P 1'
loop_
_atom_site_label
_atom_site_type_symbol
_atom_site_fract_x
_atom_site_fract_y
_atom_site_fract_z
Ac1 Ac 0.0000 0.0000 0.0000
Ac2 Ac 0.0000 0.4988 0.0000
Ac3 Ac 0.5000 0.5000 0.0000
Ac4 Ac 0.5000 0.9988 0.0000
Al1 Al 0.0000 0.5789 0.5000
Al2 Al 0.5000 0.0789 0.5000
Sn1 Sn 0.2470 0.2540 0.5016
Sn2 Sn 0.2494 0.2550 0.9974
Sn3 Sn 0.2506 0.7550 0.0026
Sn4 Sn 0.2530 0.7540 0.4984
Sn5 Sn 0.7470 0.7540 0.5016
Sn6 Sn 0.7494 0.7550 0.9974
Sn7 Sn 0.7506 0.2550 0.0026
Sn8 Sn 0.7530 0.2540 0.4984
```

Principal peaks in the range 5 to 70 degrees two-theta, by angle:
4.568 Å, 19.43°, rel. 65, (0 0 1)
3.472 Å, 25.66°, rel. 72, (0 2 1)
2.779 Å, 32.21°, rel. 100, (2 2 0)
2.750 Å, 32.57°, rel. 97, (2 2 -2)
2.672 Å, 33.53°, rel. 42, (0 4 0)
2.307 Å, 39.05°, rel. 28, (2 4 -1)
2.284 Å, 39.46°, rel. 60, (0 0 2)
1.736 Å, 52.72°, rel. 48, (0 4 2)
1.400 Å, 66.82°, rel. 26, (2 2 2)
1.389 Å, 67.42°, rel. 37, (2 2 -4)


Structure and theoretical X-ray powder pattern of PaTe2AuN (a crystal structure in Alexandria, relaxed with PBE; Cu Kα X-rays).

Crystal structure
```
data_PaTe2AuN
_chemical_formula_sum 'Pa2 Te4 Au2 N2'
_cell_length_a 4.0259
_cell_length_b 4.0259
_cell_length_c 14.3023
_cell_angle_alpha 90.00
_cell_angle_beta 90.00
_cell_angle_gamma 90.00
_space_group_name_H-M_alt 'P 1'
_space_group_IT_number 1
_space_group_name_Hall 'P 1'
loop_
_atom_site_label
_atom_site_type_symbol
_atom_site_fract_x
_atom_site_fract_y
_atom_site_fract_z
Pa1 Pa 0.2500 0.2500 0.0801
Pa2 Pa 0.7500 0.7500 0.9199
Te1 Te 0.2500 0.2500 0.4062
Te2 Te 0.2500 0.2500 0.8017
Te3 Te 0.7500 0.7500 0.1983
Te4 Te 0.7500 0.7500 0.5938
Au1 Au 0.2500 0.2500 0.6044
Au2 Au 0.7500 0.7500 0.3956
N1 N 0.2500 0.7500 0.0000
N2 N 0.7500 0.2500 0.0000
```

Principal peaks in the range 5 to 70 degrees two-theta, by angle:
7.151 Å, 12.38°, rel. 18, (0 0 2)
3.576 Å, 24.90°, rel. 20, (0 0 4)
3.508 Å, 25.39°, rel. 28, (1 0 2)
3.076 Å, 29.03°, rel. 31, (1 0 3)
2.847 Å, 31.42°, rel. 100, (1 1 0)
2.673 Å, 33.52°, rel. 43, (1 0 4)
2.227 Å, 40.50°, rel. 27, (1 1 4)
2.013 Å, 45.04°, rel. 41, (2 0 0)
1.828 Å, 49.90°, rel. 25, (1 1 6)
1.608 Å, 57.29°, rel. 19, (2 1 4)